TmTl2GeTe4: theoretical powder diffractogram (Cu Kα (weighted mean of Kα1 and Kα2)), based on a GGA-PBE-relaxed structure.
No peak broadening, texture or thermal motion is included.

Structural model:
Lattice parameters (Å, degrees): 7.7322 4.3520 8.1977 90.00 108.37 90.00
Space group P2/m (No. 10)
Symmetry-distinct sites (fractional):
Tm 0.0000 0.0000 0.0000 (multiplicity 1)
Tl 0.0000 0.5000 0.5000 (multiplicity 1)
Tl 0.5000 0.0000 0.5000 (multiplicity 1)
Ge 0.5000 0.5000 0.0000 (multiplicity 1)
Te 0.2423 0.5000 0.2112 (multiplicity 2)
Te 0.2625 0.0000 0.7888 (multiplicity 2)

Top 10 peaks for 10° ≤ 2θ ≤ 80°, most intense first:
hkl 1 1 1, 28.07 deg, I = 100.0
hkl 2 0 -2, 27.67 deg, I = 51.0
hkl 3 1 -1, 40.68 deg, I = 38.5
hkl 1 1 -3, 38.94 deg, I = 35.8
hkl 2 2 -2, 50.61 deg, I = 19.4
hkl 2 0 2, 38.68 deg, I = 18.8
hkl 0 2 0, 41.50 deg, I = 18.2
hkl 3 1 3, 63.64 deg, I = 13.5
hkl 2 2 2, 58.02 deg, I = 11.6
hkl 4 0 0, 49.70 deg, I = 10.5

UTl2GeTe4: theoretical powder diffractogram (Cu Kα (weighted mean of Kα1 and Kα2)), based on a GGA-PBE-relaxed structure.
No peak broadening, texture or thermal motion is included.

Structural model:
Lattice parameters (Å, degrees): 7.7330 4.4330 8.3901 90.00 107.23 90.00
Space group P2/m (No. 10)
Symmetry-distinct sites (fractional):
U 0.0000 0.0000 0.0000 (multiplicity 1)
Tl 0.0000 0.5000 0.5000 (multiplicity 1)
Tl 0.5000 0.0000 0.5000 (multiplicity 1)
Ge 0.5000 0.5000 0.0000 (multiplicity 1)
Te 0.2387 0.5000 0.2088 (multiplicity 2)
Te 0.2647 0.0000 0.7963 (multiplicity 2)

Top 10 peaks for 10° ≤ 2θ ≤ 80°, most intense first:
hkl 1 1 1, 27.46 deg, I = 100.0
hkl 2 0 -2, 27.58 deg, I = 49.0
hkl 3 1 -1, 40.48 deg, I = 37.6
hkl 1 1 -3, 38.11 deg, I = 35.3
hkl 2 2 -2, 49.88 deg, I = 19.7
hkl 0 2 0, 40.71 deg, I = 19.2
hkl 2 0 2, 37.70 deg, I = 18.5
hkl 1 3 -3, 72.34 deg, I = 11.6
hkl 2 2 2, 56.68 deg, I = 11.5
hkl 4 0 0, 49.36 deg, I = 10.8

Y8TlGe3Te4: theoretical powder diffractogram (Cu Kα (weighted mean of Kα1 and Kα2)), based on a GGA-PBE-relaxed structure.
No peak broadening, texture or thermal motion is included.

Structural model:
Lattice parameters (Å, degrees): 8.5362 8.5362 21.5456 90.00 90.00 120.00
Space group R-3m (No. 166, hexagonal axes)
Symmetry-distinct sites (fractional):
Y 0.0000 0.0000 0.2390 (multiplicity 6)
Y 0.0108 0.5054 0.7568 (multiplicity 18)
Tl 0.0000 0.0000 0.5000 (multiplicity 3)
Ge 0.0000 0.5000 0.5000 (multiplicity 9)
Te 0.0000 0.0000 0.0000 (multiplicity 3)
Te 0.0000 0.5000 0.0000 (multiplicity 9)

Top 10 peaks for 10° ≤ 2θ ≤ 80°, most intense first:
hkl 0 2 4, 29.30 deg, I = 100.0
hkl 2 2 0, 42.35 deg, I = 36.7
hkl 2 0 8, 41.49 deg, I = 36.4
hkl 4 0 4, 52.34 deg, I = 19.2
hkl 2 4 4, 69.51 deg, I = 15.9
hkl 2 2 12, 68.27 deg, I = 14.7
hkl 0 4 8, 60.78 deg, I = 11.5
hkl 4 2 8, 76.87 deg, I = 11.5
hkl 0 0 12, 50.86 deg, I = 6.1
hkl 6 0 0, 77.47 deg, I = 6.0

Tm3GeTe2: theoretical powder diffractogram (Cu Kα (weighted mean of Kα1 and Kα2)), based on a GGA-PBE-relaxed structure.
No peak broadening, texture or thermal motion is included.

Structural model:
Lattice parameters (Å, degrees): 8.5368 12.0303 25.4054 90.00 90.00 90.00
Space group Fddd (No. 70, origin choice 2)
Symmetry-distinct sites (fractional):
Tm 0.0958 0.3750 0.3750 (multiplicity 16)
Tm 0.1110 0.3614 0.2135 (multiplicity 32)
Ge 0.1250 0.1250 0.0414 (multiplicity 16)
Te 0.1250 0.1250 0.3784 (multiplicity 16)
Te 0.1250 0.1250 0.5448 (multiplicity 16)

Top 10 peaks for 10° ≤ 2θ ≤ 80°, most intense first:
hkl 0 4 0, 29.71 deg, I = 100.0
hkl 2 4 6, 42.52 deg, I = 47.9
hkl 2 8 6, 69.96 deg, I = 18.7
hkl 0 4 12, 52.89 deg, I = 12.4
hkl 0 0 12, 42.71 deg, I = 12.1
hkl 4 4 0, 52.58 deg, I = 11.6
hkl 4 0 0, 42.35 deg, I = 11.5
hkl 0 8 0, 61.70 deg, I = 10.6
hkl 2 4 18, 78.07 deg, I = 7.0
hkl 6 4 6, 77.58 deg, I = 5.9

Tm8Ge4Te3: theoretical powder diffractogram (Cu Kα (weighted mean of Kα1 and Kα2)), based on a GGA-PBE-relaxed structure.
No peak broadening, texture or thermal motion is included.

Structural model:
Lattice parameters (Å, degrees): 11.8230 11.8638 8.3633 90.00 134.88 90.00
Space group C2/m (No. 12)
Symmetry-distinct sites (fractional):
Tm 0.0000 0.2387 0.0000 (multiplicity 4)
Tm 0.0000 0.2394 0.5000 (multiplicity 4)
Tm 0.2227 0.0000 0.4719 (multiplicity 4)
Tm 0.2342 0.0000 0.9828 (multiplicity 4)
Ge 0.0000 0.0000 0.0000 (multiplicity 2)
Ge 0.0000 0.0000 0.5000 (multiplicity 2)
Ge 0.2500 0.2500 0.0000 (multiplicity 4)
Te 0.0000 0.5000 0.5000 (multiplicity 2)
Te 0.2500 0.2500 0.5000 (multiplicity 4)

Top 10 peaks for 10° ≤ 2θ ≤ 80°, most intense first:
hkl 0 4 0, 30.15 deg, I = 100.0
hkl 4 4 -2, 43.19 deg, I = 90.7
hkl 4 0 -2, 30.24 deg, I = 49.8
hkl 4 4 -4, 53.60 deg, I = 38.0
hkl 2 2 -2, 26.06 deg, I = 30.4
hkl 4 8 -2, 71.12 deg, I = 26.5
hkl 4 0 -4, 43.27 deg, I = 19.2
hkl 4 8 -4, 79.16 deg, I = 16.2
hkl 4 0 -6, 71.27 deg, I = 15.4
hkl 0 8 0, 62.68 deg, I = 11.5

U2GeTe4: theoretical powder diffractogram (Cu Kα (weighted mean of Kα1 and Kα2)), based on a GGA-PBE-relaxed structure.
No peak broadening, texture or thermal motion is included.

Structural model:
Lattice parameters (Å, degrees): 8.0878 9.6702 4.9240 90.00 90.00 90.00
Space group Cmmm (No. 65)
Symmetry-distinct sites (fractional):
U 0.0000 0.2119 0.0000 (multiplicity 4)
Ge 0.0000 0.0000 0.5000 (multiplicity 2)
Te 0.2057 0.5000 0.0000 (multiplicity 4)
Te 0.2500 0.2500 0.5000 (multiplicity 4)

Top 10 peaks for 10° ≤ 2θ ≤ 80°, most intense first:
hkl 2 2 1, 34.16 deg, I = 100.0
hkl 0 0 2, 36.50 deg, I = 25.1
hkl 1 3 1, 35.07 deg, I = 20.8
hkl 0 0 1, 18.02 deg, I = 18.9
hkl 2 2 3, 64.20 deg, I = 16.3
hkl 0 4 0, 37.19 deg, I = 15.7
hkl 2 0 1, 28.56 deg, I = 15.5
hkl 0 2 0, 18.35 deg, I = 13.6
hkl 4 4 2, 71.95 deg, I = 11.3
hkl 0 4 2, 53.09 deg, I = 11.3

U3GeTe8: theoretical powder diffractogram (Cu Kα (weighted mean of Kα1 and Kα2)), based on a GGA-PBE-relaxed structure.
No peak broadening, texture or thermal motion is included.

Structural model:
Lattice parameters (Å, degrees): 9.2213 9.2213 10.5197 90.00 90.00 120.00
Space group P6_3mc (No. 186)
Symmetry-distinct sites (fractional):
U 0.1800 0.3599 0.0000 (multiplicity 6)
Ge 0.3333 0.6667 0.2174 (multiplicity 2)
Te 0.0000 0.0000 0.0778 (multiplicity 2)
Te 0.0555 0.5277 0.5703 (multiplicity 6)
Te 0.1626 0.3253 0.3101 (multiplicity 6)
Te 0.3333 0.6667 0.8324 (multiplicity 2)

Top 10 peaks for 10° ≤ 2θ ≤ 80°, most intense first:
hkl 0 0 4, 34.04 deg, I = 100.0
hkl 2 2 0, 39.07 deg, I = 69.1
hkl 2 0 1, 23.84 deg, I = 52.7
hkl 4 0 3, 52.78 deg, I = 43.5
hkl 2 0 2, 28.06 deg, I = 40.3
hkl 0 0 2, 16.86 deg, I = 25.1
hkl 1 0 1, 13.92 deg, I = 24.0
hkl 2 1 1, 30.82 deg, I = 21.0
hkl 4 2 3, 67.58 deg, I = 19.4
hkl 2 0 6, 57.40 deg, I = 16.8

GeTeW: theoretical powder diffractogram (Cu Kα (weighted mean of Kα1 and Kα2)), based on a GGA-PBE-relaxed structure.
No peak broadening, texture or thermal motion is included.

Structural model:
Lattice parameters (Å, degrees): 13.4397 3.1557 8.3780 90.00 125.44 90.00
Space group Cm (No. 8)
Symmetry-distinct sites (fractional):
Ge 0.0000 0.0000 0.0000 (multiplicity 2)
Ge 0.0941 0.0000 0.3578 (multiplicity 2)
Te 0.1992 0.0000 0.9468 (multiplicity 2)
Te 0.3838 0.0000 0.4892 (multiplicity 2)
W 0.1373 0.5000 0.6337 (multiplicity 2)
W 0.3210 0.0000 0.7436 (multiplicity 2)

Top 10 peaks for 10° ≤ 2θ ≤ 80°, most intense first:
hkl 0 0 1, 12.97 deg, I = 100.0
hkl 1 1 1, 34.23 deg, I = 37.0
hkl 6 0 -1, 43.28 deg, I = 36.0
hkl 5 1 -2, 44.34 deg, I = 35.1
hkl 2 0 -3, 32.71 deg, I = 34.4
hkl 3 1 1, 44.72 deg, I = 32.7
hkl 4 0 -1, 27.17 deg, I = 27.6
hkl 1 1 0, 29.46 deg, I = 26.5
hkl 5 1 -3, 47.17 deg, I = 24.3
hkl 2 0 -1, 13.66 deg, I = 22.2

GeTeW: theoretical powder diffractogram (Cu Kα (weighted mean of Kα1 and Kα2)), based on a GGA-PBE-relaxed structure.
No peak broadening, texture or thermal motion is included.

Structural model:
Lattice parameters (Å, degrees): 13.9135 3.2678 6.5682 90.00 99.49 90.00
Space group Cm (No. 8)
Symmetry-distinct sites (fractional):
Ge 0.0000 0.0000 0.0000 (multiplicity 2)
Ge 0.1705 0.0000 0.1735 (multiplicity 2)
Te 0.2569 0.5000 0.7331 (multiplicity 2)
Te 0.4544 0.0000 0.4529 (multiplicity 2)
W 0.3026 0.5000 0.3302 (multiplicity 2)
W 0.3600 0.0000 0.0296 (multiplicity 2)

Top 10 peaks for 10° ≤ 2θ ≤ 80°, most intense first:
hkl 2 0 0, 12.90 deg, I = 100.0
hkl 2 0 -2, 28.47 deg, I = 34.1
hkl 3 1 0, 33.71 deg, I = 29.0
hkl 1 1 2, 40.51 deg, I = 28.3
hkl 0 0 1, 13.67 deg, I = 25.6
hkl 3 1 1, 37.78 deg, I = 22.9
hkl 5 1 -1, 43.56 deg, I = 22.5
hkl 3 1 -1, 35.24 deg, I = 21.1
hkl 6 0 1, 44.11 deg, I = 19.8
hkl 0 2 0, 56.34 deg, I = 17.4

YGeTe3: theoretical powder diffractogram (Cu Kα (weighted mean of Kα1 and Kα2)), based on a GGA-PBE-relaxed structure.
No peak broadening, texture or thermal motion is included.

Structural model:
Lattice parameters (Å, degrees): 5.0082 17.4301 7.7153 90.00 90.00 90.00
Space group Cmcm (No. 63)
Symmetry-distinct sites (fractional):
Y 0.0000 0.1911 0.2500 (multiplicity 4)
Ge 0.0000 0.4448 0.2500 (multiplicity 4)
Te 0.0000 0.0118 0.2500 (multiplicity 4)
Te 0.0000 0.3338 0.0002 (multiplicity 8)

Top 10 peaks for 10° ≤ 2θ ≤ 80°, most intense first:
hkl 1 3 0, 23.45 deg, I = 100.0
hkl 1 5 2, 39.20 deg, I = 74.6
hkl 1 3 2, 33.12 deg, I = 63.8
hkl 1 1 2, 29.68 deg, I = 61.9
hkl 2 0 0, 35.86 deg, I = 61.1
hkl 0 2 2, 25.25 deg, I = 59.0
hkl 0 0 4, 47.10 deg, I = 51.5
hkl 0 6 0, 30.78 deg, I = 45.5
hkl 0 4 2, 30.96 deg, I = 44.8
hkl 1 1 1, 21.76 deg, I = 44.7